(1)
Simulated powder X-ray diffraction pattern of KRb9Na4 for a wavelength of 1.5418 Å, from a structure optimized by DFT (PBE).
Kinematic intensities with the Lorentz-polarization factor, no thermal factor.

Atomic structure:
```
KRb9Na4
1.0
-7.5226 7.5226 9.6751
7.5226 -7.5226 9.6751
7.5226 7.5226 -9.6751
K Rb Na
2 18 8
Cartesian
0.0000 0.0000 4.8375 K
0.0000 0.0000 14.5126 K
7.5226 0.0000 0.0000 Rb
5.3684 -2.1542 3.8505 Rb
12.0932 0.9246 0.0000 Rb
9.6768 -2.1542 5.8246 Rb
0.9246 2.9520 0.0000 Rb
8.4472 4.5706 0.0000 Rb
9.6768 2.1542 3.8505 Rb
4.5706 6.5980 0.0000 Rb
5.3684 2.1542 5.8246 Rb
0.0000 7.5226 0.0000 Rb
2.1542 5.3684 3.8505 Rb
2.9520 0.9246 9.6751 Rb
-2.1542 5.3684 5.8246 Rb
-0.9246 2.9520 9.6751 Rb
6.5980 4.5706 9.6751 Rb
-2.1542 9.6768 3.8505 Rb
-4.5706 6.5980 9.6751 Rb
2.1542 9.6768 5.8246 Rb
4.8889 2.6337 -1.8163 Na
4.8889 -2.6337 7.8587 Na
4.8889 2.6337 1.8163 Na
4.8889 -2.6337 11.4914 Na
2.6337 10.1563 -1.8163 Na
2.6337 4.8889 7.8587 Na
2.6337 10.1563 1.8163 Na
2.6337 4.8889 11.4914 Na
```

Top 10 peaks for 2θ = 5–70°, most intense first:
2θ/deg	d_spacing	I/Imax
20.81	4.269	100
26.56	3.356	73
25.42	3.504	56
25.11	3.546	32
24.83	3.585	32
39.79	2.265	31
28.10	3.176	31
18.34	4.838	29
39.04	2.307	24
19.05	4.658	24



(2)
Simulated powder X-ray diffraction pattern of TlSi2As for a wavelength of 1.5418 Å, from a structure optimized by DFT (PBE).
Kinematic intensities with the Lorentz-polarization factor, no thermal factor.

Atomic structure:
```
TlSi2As
1.0
4.4781 -1.7903 0.0000
4.4781 1.7903 0.0000
-2.3969 0.0000 5.7124
Tl Si As
1 2 1
Cartesian
0.0000 0.0000 0.0000 Tl
0.5881 0.0000 3.6264 Si
5.9711 0.0000 2.0859 Si
3.2796 0.0000 2.8562 As
```

Top 10 peaks for 2θ = 5–70°, most intense first:
2θ/deg	d_spacing	I/Imax
33.50	2.675	100
29.20	3.058	75
21.52	4.129	71
39.42	2.286	69
31.30	2.858	60
30.39	2.941	56
21.12	4.208	36
59.77	1.547	29
43.85	2.065	28
27.14	3.285	27



(3)
Simulated powder X-ray diffraction pattern of BeZnInNiPd for a wavelength of 1.5418 Å, from a structure optimized by DFT (PBE).
Kinematic intensities with the Lorentz-polarization factor, no thermal factor.

Atomic structure:
```
BeZnInNiPd
1.0
-1.5173 1.5173 7.4977
1.5173 -1.5173 7.4977
1.5173 1.5173 -7.4977
Be Zn In Ni Pd
1 1 1 1 1
Cartesian
0.0000 0.0000 0.0000 Be
0.0000 0.0000 8.8563 Zn
0.0000 0.0000 11.8321 In
0.0000 0.0000 2.6564 Ni
0.0000 0.0000 6.2674 Pd
```

Top 10 peaks for 2θ = 5–70°, most intense first:
2θ/deg	d_spacing	I/Imax
42.37	2.133	100
42.11	2.146	64
34.58	2.594	48
30.05	2.974	24
61.08	1.517	20
11.80	7.498	18
66.20	1.412	13
56.53	1.628	11
35.93	2.499	11
48.57	1.874	8



(4)
Simulated powder X-ray diffraction pattern of CsSrCuI4 for a wavelength of 1.5418 Å, from a structure optimized by DFT (PBE).
Kinematic intensities with the Lorentz-polarization factor, no thermal factor.

Atomic structure:
```
CsSrCuI4
1.0
7.3839 0.0000 0.0000
0.0000 8.1811 0.0000
-3.6357 0.0000 9.8639
Cs Sr Cu I
2 2 2 8
Cartesian
-0.2639 2.0453 4.3916 Cs
4.0121 6.1358 5.4722 Cs
2.2062 6.1358 0.5588 Sr
1.5421 2.0453 9.3051 Sr
-2.1328 2.0453 8.1198 Cu
5.8811 6.1358 1.7441 Cu
0.7487 2.0453 0.7695 I
0.5001 6.1358 3.4497 I
-0.5628 4.1432 7.7534 I
-0.5628 8.1284 7.7534 I
4.3111 0.0527 2.1105 I
4.3111 4.0379 2.1105 I
3.2481 2.0453 6.4142 I
2.9995 6.1358 9.0944 I
```

Top 10 peaks for 2θ = 5–70°, most intense first:
2θ/deg	d_spacing	I/Imax
25.30	3.520	100
27.94	3.193	98
28.36	3.147	92
25.69	3.468	88
33.98	2.638	59
51.89	1.762	32
44.29	2.045	29
40.72	2.216	27
21.73	4.091	26
43.02	2.103	23



(5)
Simulated powder X-ray diffraction pattern of Na4AgSn for a wavelength of 1.5418 Å, from a structure optimized by DFT (PBE).
Kinematic intensities with the Lorentz-polarization factor, no thermal factor.

Atomic structure:
```
Na4AgSn
1.0
11.0577 0.0000 0.0000
0.0000 5.7019 0.0000
0.0000 0.0000 6.0069
Na Ag Sn
8 2 2
Cartesian
0.0000 0.1013 0.0000 Na
0.0000 5.5964 2.9911 Na
2.7644 2.1511 2.9901 Na
2.7645 3.5509 5.9935 Na
5.5288 0.1056 5.9946 Na
5.5288 5.6007 3.0034 Na
8.2933 2.1511 2.9901 Na
8.2932 3.5509 5.9935 Na
0.0000 2.8472 4.4982 Ag
5.5288 2.8548 1.4947 Ag
0.0000 2.8503 1.4924 Sn
5.5288 2.8516 4.4959 Sn
```

Top 10 peaks for 2θ = 5–70°, most intense first:
2θ/deg	d_spacing	I/Imax
16.03	5.529	100
15.54	5.702	95
37.55	2.395	90
35.42	2.534	41
22.40	3.969	37
32.39	2.764	37
33.73	2.657	37
33.97	2.639	32
31.38	2.851	29
47.46	1.916	28



(6)
Simulated powder X-ray diffraction pattern of Pm3YSb2C for a wavelength of 1.5418 Å, from a structure optimized by DFT (PBE).
Kinematic intensities with the Lorentz-polarization factor, no thermal factor.

Atomic structure:
```
Pm3YSb2C
1.0
-2.4074 2.4613 8.1268
2.4074 -2.4613 8.1268
2.4074 2.4613 -8.1268
Pm Y Sb C
3 1 2 1
Cartesian
0.0000 0.0000 0.0000 Pm
2.4074 0.0000 5.5173 Pm
0.0000 2.4613 2.6094 Pm
0.0000 0.0000 8.1268 Y
2.4074 0.0000 2.2724 Sb
0.0000 2.4613 5.8544 Sb
0.0000 2.4613 0.0000 C
```

Top 10 peaks for 2θ = 5–70°, most intense first:
2θ/deg	d_spacing	I/Imax
34.14	2.626	100
28.15	3.169	65
64.15	1.452	33
33.06	2.709	32
36.51	2.461	32
37.35	2.407	30
25.88	3.442	24
53.22	1.721	21
50.73	1.800	19
50.07	1.822	18



(7)
Simulated powder X-ray diffraction pattern of CaTaGe2O8 for a wavelength of 1.5418 Å, from a structure optimized by DFT (PBE).
Kinematic intensities with the Lorentz-polarization factor, no thermal factor.

Atomic structure:
```
CaTaGe2O8
1.0
-3.4431 3.4431 3.1251
3.4431 -3.4431 3.1251
3.4431 3.4431 -3.1251
Ca Ta Ge O
1 1 2 8
Cartesian
0.0000 0.0000 0.0000 Ca
0.0000 3.4431 1.5626 Ta
3.4431 0.0000 1.5626 Ge
0.0000 0.0000 3.1251 Ge
2.2363 0.0000 0.2721 O
4.6498 0.0000 0.2721 O
3.4431 2.0289 -1.0770 O
3.4431 -1.2068 2.8530 O
0.0000 1.4142 2.0481 O
3.4431 1.2068 2.8530 O
2.0289 3.4431 1.0770 O
1.4142 0.0000 4.2021 O
```

Top 10 peaks for 2θ = 5–70°, most intense first:
2θ/deg	d_spacing	I/Imax
25.88	3.443	100
34.09	2.630	71
51.12	1.787	61
19.18	4.628	35
18.22	4.869	32
36.92	2.435	20
64.72	1.440	18
53.21	1.722	16
60.09	1.540	14
65.61	1.423	13



(8)
Simulated powder X-ray diffraction pattern of Na2BCl5 for a wavelength of 1.5418 Å, from a structure optimized by DFT (PBE).
Kinematic intensities with the Lorentz-polarization factor, no thermal factor.

Atomic structure:
```
Na2BCl5
1.0
10.3779 0.0000 0.0000
0.0000 11.4234 0.0000
0.0000 0.0000 8.1885
Na B Cl
8 4 20
Cartesian
0.0000 0.0000 1.7748 Na
0.0000 0.0000 6.4137 Na
1.2515 3.7215 0.0000 Na
3.9374 9.4332 4.0942 Na
5.1889 5.7117 2.3195 Na
5.1889 5.7117 5.8690 Na
6.4404 1.9903 4.0942 Na
9.1264 7.7020 0.0000 Na
2.5493 2.4784 4.0942 B
2.6396 8.1902 0.0000 B
7.7383 3.2333 0.0000 B
7.8285 8.9450 4.0942 B
0.8177 1.7548 4.0942 Cl
1.4063 6.7427 0.0000 Cl
1.4947 1.1903 0.0000 Cl
2.3669 9.2172 1.5139 Cl
2.3669 9.2172 6.6745 Cl
2.8220 3.5055 2.5803 Cl
2.8220 3.5055 5.6082 Cl
3.6942 6.9020 4.0942 Cl
3.7827 1.0310 4.0942 Cl
4.3712 7.4665 0.0000 Cl
6.0067 3.9569 0.0000 Cl
6.5952 10.3924 4.0942 Cl
6.6837 4.5214 4.0942 Cl
7.5559 7.9179 2.5803 Cl
7.5559 7.9179 5.6082 Cl
8.0110 2.2062 1.5139 Cl
8.0110 2.2062 6.6745 Cl
8.8831 10.2331 0.0000 Cl
8.9716 4.6807 0.0000 Cl
9.5602 9.6687 4.0942 Cl
```

Top 10 peaks for 2θ = 5–70°, most intense first:
2θ/deg	d_spacing	I/Imax
28.16	3.169	100
11.52	7.681	69
15.82	5.602	63
13.78	6.428	60
23.16	3.841	56
41.19	2.192	51
37.59	2.393	50
28.00	3.187	48
32.52	2.753	44
28.86	3.094	43